Record 1
Structure and theoretical powder diffractogram of Nb4CdGeN2 (the GGA-PBE geometry in OQMD; Cu Kα (λ = 1.5418 Å)).

```
8
Lattice="3.219 0.000 0.000 -1.609 2.788 0.000 0.000 0.000 13.395" Properties=species:S:1:pos:R:3 pbc="T T T"
Nb 0.000 0.000 1.973
Nb 0.000 0.000 11.422
Nb 1.609 0.929 4.269
Nb 1.609 0.929 9.126
Cd 0.000 0.000 6.698
Ge 1.609 0.929 0.000
N 0.000 1.858 3.175
N 0.000 1.858 10.220
```

Largest 10 diffraction maxima, sorted by position, 2θ = 10–90°:
2θ = 32.1°, I 24
2θ = 34.9°, I 6
2θ = 38.1°, I 100
2θ = 40.4°, I 14
2θ = 52.5°, I 12
2θ = 57.2°, I 23
2θ = 65.0°, I 6
2θ = 70.8°, I 15
2θ = 71.9°, I 8
2θ = 72.4°, I 14



Record 2
Structure and theoretical powder diffractogram of Na2CdGe2S6 (the GGA-PBE geometry in OQMD; Cu Kα (λ = 1.5418 Å)).

```
22
Lattice="3.681 -6.380 0.000 3.681 6.380 0.000 -1.806 0.000 11.534" Properties=species:S:1:pos:R:3 pbc="T T T"
Na 2.778 6.247 5.767
Na 4.200 2.559 1.558
Na 3.297 -2.559 7.325
Na 3.681 -6.247 0.000
Cd 3.488 3.201 9.139
Cd 4.391 -3.201 3.372
Ge 1.240 0.313 8.845
Ge 2.143 -0.313 3.078
Ge 3.066 1.765 5.939
Ge 3.969 -1.765 0.172
S 0.193 0.692 3.184
S 1.851 3.582 5.632
S -0.710 -0.692 8.952
S 1.085 2.395 9.458
S 2.726 0.016 0.886
S 1.823 -0.016 6.653
S 1.988 -2.395 3.691
S 3.894 0.861 4.022
S 4.791 1.995 7.286
S 0.948 -3.582 11.399
S 2.991 -0.861 9.789
S 5.694 -1.995 1.519
```

Largest 10 diffraction maxima, sorted by position, 2θ = 10–90°:
2θ = 14.0°, I 72
2θ = 15.1°, I 100
2θ = 15.9°, I 30
2θ = 24.2°, I 30
2θ = 25.4°, I 31
2θ = 26.0°, I 40
2θ = 28.3°, I 41
2θ = 28.8°, I 48
2θ = 30.3°, I 48
2θ = 31.0°, I 64



Record 3
Structure and theoretical powder diffractogram of NbCd2GeP4 (the GGA-PBE geometry in OQMD; Cu Kα (λ = 1.5418 Å)).

```
16
Lattice="5.806 0.000 0.000 0.000 5.806 0.000 0.000 0.000 11.366" Properties=species:S:1:pos:R:3 pbc="T T T"
Nb 0.000 0.000 0.000
Nb 2.903 2.903 5.683
Cd 0.000 0.000 5.683
Cd 0.000 2.903 8.524
Cd 2.903 0.000 2.841
Cd 2.903 2.903 0.000
Ge 0.000 2.903 2.841
Ge 2.903 0.000 8.524
P 1.269 1.472 1.424
P 1.432 4.172 4.259
P 1.472 4.537 9.942
P 1.634 1.432 7.106
P 4.172 4.375 7.106
P 4.335 1.269 9.942
P 4.375 1.634 4.259
P 4.537 4.335 1.424
```

Largest 10 diffraction maxima, sorted by position, 2θ = 10–90°:
2θ = 26.8°, I 100
2θ = 30.8°, I 16
2θ = 31.5°, I 7
2θ = 44.1°, I 19
2θ = 44.6°, I 37
2θ = 52.4°, I 29
2θ = 53.3°, I 14
2θ = 71.6°, I 11
2θ = 81.5°, I 11
2θ = 87.3°, I 7



Record 4
Structure and theoretical powder diffractogram of Cd2Ge7O16 (the GGA-PBE geometry in OQMD; Cu Kα (λ = 1.5418 Å)).

```
50
Lattice="11.287 0.000 0.000 0.000 11.287 0.000 0.000 0.000 4.646" Properties=species:S:1:pos:R:3 pbc="T T T"
Cd 1.847 3.797 0.000
Cd 3.797 9.440 0.000
Cd 7.491 1.847 0.000
Cd 9.440 7.491 0.000
Ge 0.000 5.644 2.323
Ge 0.769 9.199 2.369
Ge 1.534 7.178 0.000
Ge 2.088 0.769 2.277
Ge 3.555 6.412 2.277
Ge 4.110 1.534 0.000
Ge 4.875 3.555 2.369
Ge 5.644 0.000 2.323
Ge 6.412 7.732 2.369
Ge 7.178 9.753 0.000
Ge 7.732 4.875 2.277
Ge 9.199 10.519 2.277
Ge 9.753 4.110 0.000
Ge 10.519 2.088 2.369
O 11.282 4.288 3.467
O 0.005 6.999 3.467
O 0.311 8.123 1.048
O 0.729 1.541 3.145
O 1.355 5.649 1.179
O 1.541 10.559 1.501
O 1.981 8.672 3.564
O 2.480 5.954 3.598
O 2.615 1.981 1.082
O 3.029 7.625 1.082
O 3.164 0.311 3.598
O 3.662 3.029 3.564
O 4.102 4.915 1.501
O 4.288 0.005 1.179
O 4.915 7.185 3.145
O 5.333 2.480 1.048
O 5.639 1.355 3.467
O 5.649 9.932 3.467
O 5.954 8.808 1.048
O 6.372 4.102 3.145
O 6.999 11.282 1.179
O 7.185 6.372 1.501
O 7.625 8.259 3.564
O 8.123 10.977 3.598
O 8.259 3.662 1.082
O 8.672 9.306 1.082
O 8.808 5.333 3.598
O 9.306 2.615 3.564
O 9.746 0.729 1.501
O 9.932 5.639 1.179
O 10.559 9.746 3.145
O 10.977 3.164 1.048
```

Largest 10 diffraction maxima, sorted by position, 2θ = 10–90°:
2θ = 11.1°, I 22
2θ = 22.1°, I 24
2θ = 24.8°, I 26
2θ = 31.6°, I 100
2θ = 32.7°, I 25
2θ = 33.7°, I 21
2θ = 34.5°, I 20
2θ = 37.3°, I 17
2θ = 51.6°, I 17
2θ = 52.3°, I 22



Record 5
Structure and theoretical powder diffractogram of CdGeTeO (the GGA-PBE geometry in OQMD; Cu Kα (λ = 1.5418 Å)).

```
16
Lattice="6.341 0.000 0.000 0.000 6.883 0.000 0.000 0.000 8.770" Properties=species:S:1:pos:R:3 pbc="T T T"
Cd 0.059 1.296 3.539
Cd 3.112 5.587 7.924
Cd 3.229 2.146 5.231
Cd 6.282 4.737 0.846
Ge 0.258 1.043 8.639
Ge 2.913 5.840 4.254
Ge 3.428 2.399 0.131
Ge 6.083 4.484 4.516
Te 1.377 3.508 6.782
Te 1.793 3.375 2.397
Te 4.548 6.816 1.988
Te 4.964 0.067 6.373
O 1.272 6.462 0.029
O 1.899 0.421 4.414
O 4.442 3.862 8.741
O 5.069 3.021 4.356
```

Largest 10 diffraction maxima, sorted by position, 2θ = 10–90°:
2θ = 19.0°, I 32
2θ = 27.9°, I 100
2θ = 29.5°, I 29
2θ = 31.3°, I 11
2θ = 33.1°, I 24
2θ = 33.8°, I 12
2θ = 34.9°, I 33
2θ = 36.1°, I 14
2θ = 38.6°, I 32
2θ = 45.7°, I 12



Record 6
Structure and theoretical powder diffractogram of CdGeTeO (the GGA-PBE geometry in OQMD; Cu Kα (λ = 1.5418 Å)).

```
16
Lattice="5.982 0.000 0.000 0.000 7.850 0.000 0.000 0.000 8.300" Properties=species:S:1:pos:R:3 pbc="T T T"
Cd 0.085 0.512 0.685
Cd 2.905 7.339 4.835
Cd 3.076 3.414 7.615
Cd 5.896 4.437 3.465
Ge 0.375 5.262 7.410
Ge 2.616 2.588 3.260
Ge 3.366 6.513 0.890
Ge 5.606 1.337 5.040
Te 0.590 7.141 3.243
Te 2.401 0.709 7.393
Te 3.580 4.634 5.057
Te 5.392 3.216 0.907
O 0.851 2.512 4.197
O 2.140 5.338 0.047
O 3.841 1.413 4.103
O 5.131 6.437 8.253
```

Largest 10 diffraction maxima, sorted by position, 2θ = 10–90°:
2θ = 18.3°, I 37
2θ = 21.4°, I 30
2θ = 28.5°, I 100
2θ = 29.3°, I 62
2θ = 29.9°, I 39
2θ = 35.8°, I 23
2θ = 36.0°, I 45
2θ = 42.7°, I 33
2θ = 43.6°, I 63
2θ = 46.2°, I 25



Record 7
Structure and theoretical powder diffractogram of Cd2GeP4Os (the GGA-PBE geometry in OQMD; Cu Kα (λ = 1.5418 Å)).

```
16
Lattice="5.742 0.000 0.000 0.000 5.742 0.000 0.000 0.000 10.975" Properties=species:S:1:pos:R:3 pbc="T T T"
Cd 0.000 0.000 0.000
Cd 0.000 2.871 2.744
Cd 2.871 0.000 8.231
Cd 2.871 2.871 5.487
Ge 0.000 2.871 8.231
Ge 2.871 0.000 2.744
P 1.193 1.381 6.815
P 1.381 4.549 4.160
P 1.490 4.064 9.647
P 1.678 1.490 1.327
P 4.064 4.252 1.327
P 4.252 1.678 9.647
P 4.361 1.193 4.160
P 4.549 4.361 6.815
Os 0.000 0.000 5.487
Os 2.871 2.871 0.000
```

Largest 10 diffraction maxima, sorted by position, 2θ = 10–90°:
2θ = 17.4°, I 9
2θ = 27.3°, I 100
2θ = 31.1°, I 20
2θ = 32.6°, I 8
2θ = 44.6°, I 18
2θ = 45.7°, I 34
2θ = 53.1°, I 30
2θ = 55.1°, I 15
2θ = 73.5°, I 12
2θ = 83.0°, I 11



Record 8
Structure and theoretical powder diffractogram of CdSi17Ge13P (the GGA-PBE geometry in OQMD; Cu Kα (λ = 1.5418 Å)).

```
32
Lattice="5.612 0.000 0.000 0.000 3.947 0.000 -0.064 0.000 31.551" Properties=species:S:1:pos:R:3 pbc="T T T"
Cd 0.000 0.000 0.000
Si 1.324 1.974 3.987
Si 1.304 1.974 19.795
Si 1.371 1.974 11.903
Si 2.764 1.974 5.881
Si 2.769 1.974 13.809
Si 2.748 1.974 21.680
Si 2.740 1.974 29.645
Si 4.023 0.000 29.515
Si 4.103 0.000 5.966
Si 4.113 0.000 13.851
Si 4.107 0.000 21.688
Si 4.153 0.000 2.065
Si 4.139 0.000 25.568
Si 5.516 0.000 7.856
Si 5.485 0.000 23.625
Si 5.508 0.000 15.764
Si 5.560 0.000 19.798
Ge 1.308 1.974 7.834
Ge 1.303 1.974 15.749
Ge 1.288 1.974 23.627
Ge 1.294 1.974 27.683
Ge 2.711 1.974 9.889
Ge 2.698 1.974 17.806
Ge 2.783 1.974 2.036
Ge 2.738 1.974 25.656
Ge 4.181 0.000 9.867
Ge 4.180 0.000 17.794
Ge 5.441 0.000 27.596
Ge 5.540 0.000 4.020
Ge 5.581 0.000 11.915
P 1.522 1.974 31.545
```

Largest 10 diffraction maxima, sorted by position, 2θ = 10–90°:
2θ = 11.2°, I 8
2θ = 27.6°, I 100
2θ = 45.9°, I 47
2θ = 46.0°, I 24
2θ = 54.3°, I 14
2θ = 54.5°, I 28
2θ = 67.1°, I 7
2θ = 73.8°, I 8
2θ = 84.8°, I 6
2θ = 85.0°, I 8



Record 9
Structure and theoretical powder diffractogram of Pr3Cd2Ge4Pd2 (the GGA-PBE geometry in OQMD; Cu Kα (λ = 1.5418 Å)).

```
11
Lattice="-2.119 2.207 13.324 2.119 -2.207 13.324 2.119 2.207 -13.324" Properties=species:S:1:pos:R:3 pbc="T T T"
Pr 0.000 0.000 0.000
Pr 2.119 0.000 9.619
Pr 0.000 2.207 3.705
Cd 0.000 0.000 6.679
Cd 0.000 0.000 19.968
Ge 2.119 0.000 4.854
Ge 0.000 0.000 12.066
Ge 0.000 0.000 14.581
Ge 0.000 2.207 8.469
Pd 2.119 0.000 2.394
Pd 0.000 2.207 10.930
```

Largest 10 diffraction maxima, sorted by position, 2θ = 10–90°:
2θ = 31.6°, I 33
2θ = 32.2°, I 100
2θ = 40.9°, I 25
2θ = 42.6°, I 50
2θ = 52.6°, I 16
2θ = 60.6°, I 15
2θ = 61.9°, I 19
2θ = 69.0°, I 11
2θ = 71.5°, I 10
2θ = 75.6°, I 5



Record 10
Structure and theoretical powder diffractogram of CdGeSb2 (the GGA-PBE geometry in OQMD; Cu Kα (λ = 1.5418 Å)).

```
16
Lattice="7.365 0.000 0.000 0.000 7.365 0.000 0.000 0.000 7.365" Properties=species:S:1:pos:R:3 pbc="T T T"
Cd 0.000 0.000 0.000
Cd 0.000 3.682 3.682
Cd 3.682 0.000 3.682
Cd 3.682 3.682 0.000
Ge 1.841 1.841 5.523
Ge 1.841 5.523 1.841
Ge 5.523 1.841 1.841
Ge 5.523 5.523 5.523
Sb 0.000 0.000 3.682
Sb 0.000 3.682 0.000
Sb 1.841 1.841 1.841
Sb 1.841 5.523 5.523
Sb 3.682 0.000 0.000
Sb 3.682 3.682 3.682
Sb 5.523 1.841 5.523
Sb 5.523 5.523 1.841
```

Largest 9 diffraction maxima, sorted by position, 2θ = 10–90°:
2θ = 20.9°, I 3
2θ = 24.2°, I 1
2θ = 34.4°, I 100
2θ = 40.6°, I 1
2θ = 49.5°, I 18
2θ = 54.3°, I 1
2θ = 61.7°, I 36
2θ = 72.6°, I 11
2θ = 82.9°, I 15



Record 11
Structure and theoretical powder diffractogram of CdSiGe2 (the GGA-PBE geometry in OQMD; Cu Kα (λ = 1.5418 Å)).

```
16
Lattice="6.759 0.000 0.000 0.000 6.759 0.000 0.000 0.000 6.759" Properties=species:S:1:pos:R:3 pbc="T T T"
Cd 0.000 0.000 0.000
Cd 0.000 3.379 3.379
Cd 3.379 0.000 3.379
Cd 3.379 3.379 0.000
Si 1.690 1.690 5.069
Si 1.690 5.069 1.690
Si 5.069 1.690 1.690
Si 5.069 5.069 5.069
Ge 0.000 0.000 3.379
Ge 0.000 3.379 0.000
Ge 1.690 1.690 1.690
Ge 1.690 5.069 5.069
Ge 3.379 0.000 0.000
Ge 3.379 3.379 3.379
Ge 5.069 1.690 5.069
Ge 5.069 5.069 1.690
```

Largest 10 diffraction maxima, sorted by position, 2θ = 10–90°:
2θ = 22.8°, I 10
2θ = 26.4°, I 11
2θ = 37.6°, I 100
2θ = 44.5°, I 5
2θ = 46.5°, I 3
2θ = 54.3°, I 17
2θ = 59.6°, I 2
2θ = 61.3°, I 4
2θ = 67.9°, I 34
2θ = 80.4°, I 10



> Number 5 is which compound?

CdGeTeO